Starting from a cell relaxed with GGA-PBE, the powder XRD pattern of CaCoAs2Rh was calculated for Cu Kα, 1.54184 Å.
Neutral-atom scattering factors, no anomalous dispersion.

Main lines, in order of rising 2θ (10 to 90 degrees two-theta):
2θ/deg, d_spacing, I/Imax
17.13, 5.176, 66
23.17, 3.838, 43
33.84, 2.649, 75
35.27, 2.545, 100
43.81, 2.067, 87
46.89, 1.938, 85

Structural model:
a = 4.133 Å, b = 4.133 Å, c = 10.352 Å
α = 90.00°, β = 90.00°, γ = 90.00°
Space group I-4m2 (No. 119)
Symmetry-distinct sites (fractional):
Ca (0.000, 0.000, 0.000)
Co (0.000, 0.500, 0.250)
As (0.000, 0.000, 0.371)
Rh (0.000, 0.500, 0.750)